The following is a calculated PXRD pattern of Ba2LiNi2O6. It was derived from a structure optimized by DFT (PBE+U), using a wavelength of 1.5418 Å.
No peak broadening, texture or thermal motion is included.

Largest 10 diffraction maxima, low angle first, 10° ≤ 2θ ≤ 80°:
12.02 deg, rel. 1000, hkl 0 0 1; 21.43 deg, rel. 392, hkl 1 0 1; 30.11 deg, rel. 341, hkl 1 0 2; 30.85 deg, rel. 486, hkl 1 1 0; 33.22 deg, rel. 296, hkl 1 1 1; 37.87 deg, rel. 242, hkl 0 2 1; 40.94 deg, rel. 217, hkl 0 1 3; 43.65 deg, rel. 248, hkl 2 0 2; 52.13 deg, rel. 158, hkl 2 0 3; 61.81 deg, rel. 147, hkl 1 2 3

abc: 5.7966 5.7966 7.3608
angles: 90.00 90.00 120.00
Space group P3m1 (No. 156)
Symmetry-distinct sites (fractional):
Ba  0.0000  0.0000  0.0000 x1
Ba  0.3333  0.6667  0.7657 x1
Li  0.6667  0.3333  0.5695 x1
Ni  0.6667  0.3333  0.1927 x1
Ni  0.6667  0.3333  0.8769 x1
O  0.3678  0.1839  0.7248 x3
O  0.5145  0.0291  0.0443 x3